For Y3Ni4B7, DFT lattice parameters and positions (PBE) gives the simulated powder diffraction line list in this record (Cu Kα, 1.54184 Å).
Neutral-atom scattering factors, no anomalous dispersion.

Cell and atoms:
```
Y3Ni4B7
1.0
-1.830 1.830 12.907
1.830 -1.830 12.907
1.830 1.830 -12.907
Y Ni B
3 4 7
Cartesian
0.000 0.000 0.000
0.000 0.000 7.824
0.000 0.000 17.989
1.830 0.000 2.580
1.830 0.000 10.326
0.000 1.830 2.580
0.000 1.830 10.326
0.000 0.000 3.587
0.000 0.000 5.211
0.000 0.000 11.308
0.000 0.000 12.907
0.000 0.000 14.505
0.000 0.000 20.602
0.000 0.000 22.226
```

Peak list (10 most intense, 2θ from 10° to 80°, in order of rising 2θ)
d = 3.368 Å, rel. 84; d = 2.598 Å, rel. 56; d = 2.582 Å, rel. 76; d = 2.402 Å, rel. 100; d = 2.218 Å, rel. 100; d = 1.830 Å, rel. 61; d = 1.608 Å, rel. 21; d = 1.502 Å, rel. 21; d = 1.493 Å, rel. 50; d = 1.369 Å, rel. 25

For CdGaNO, DFT lattice parameters and positions (PBE) gives the simulated powder diffraction line list in this record (Cu Kα, 1.54184 Å).
Neutral-atom scattering factors, no anomalous dispersion.

Cell and atoms:
```
CdGaNO
1.0
5.805 0.000 0.000
0.000 6.964 0.000
0.000 0.000 5.347
Cd Ga N O
4 4 4 4
Cartesian
0.410 1.010 0.000
2.492 1.010 2.674
3.313 5.954 0.000
5.394 5.954 2.674
0.530 4.211 5.287
2.372 4.211 2.613
3.433 2.753 5.287
5.274 2.753 2.613
0.602 4.131 3.363
2.301 4.131 0.689
3.504 2.833 3.363
5.203 2.833 0.689
0.272 1.055 3.056
2.630 1.055 0.382
3.174 5.909 3.056
5.533 5.909 0.382
```

Peak list (10 most intense, 2θ from 10° to 80°, in order of rising 2θ)
d = 3.425 Å, rel. 14; d = 2.986 Å, rel. 36; d = 2.902 Å, rel. 25; d = 2.674 Å, rel. 55; d = 2.607 Å, rel. 100; d = 2.551 Å, rel. 46; d = 1.992 Å, rel. 18; d = 1.691 Å, rel. 26; d = 1.530 Å, rel. 28; d = 1.429 Å, rel. 25

For HgP8, DFT lattice parameters and positions (PBE) gives the simulated powder diffraction line list in this record (Cu Kα, 1.54184 Å).
Neutral-atom scattering factors, no anomalous dispersion.

Cell and atoms:
```
HgP8
1.0
7.977 0.000 0.000
-3.988 6.908 0.000
0.000 0.000 3.864
Hg P
1 8
Cartesian
0.000 0.000 0.000
0.000 2.439 1.932
-1.876 5.689 1.932
0.000 4.605 1.932
2.112 1.219 1.932
1.876 5.689 1.932
3.988 2.303 1.932
5.865 1.219 1.932
3.988 4.469 1.932
```

Peak list (10 most intense, 2θ from 10° to 80°, in order of rising 2θ)
d = 6.908 Å, rel. 100; d = 3.988 Å, rel. 35; d = 3.372 Å, rel. 52; d = 2.775 Å, rel. 27; d = 2.611 Å, rel. 30; d = 2.575 Å, rel. 58; d = 2.163 Å, rel. 21; d = 1.994 Å, rel. 25; d = 1.717 Å, rel. 16; d = 1.388 Å, rel. 15

For ZrIn2Cl6, DFT lattice parameters and positions (PBE) gives the simulated powder diffraction line list in this record (Cu Kα, 1.54184 Å).
Neutral-atom scattering factors, no anomalous dispersion.

Cell and atoms:
```
ZrIn2Cl6
1.0
-3.605 3.605 4.963
3.605 -3.605 4.963
3.605 3.605 -4.963
Zr In Cl
1 2 6
Cartesian
0.000 0.000 0.000
3.605 0.000 2.481
0.000 3.605 2.481
1.753 1.753 0.000
1.853 -1.853 4.963
0.000 0.000 2.473
0.000 0.000 7.453
-1.853 1.853 4.963
1.853 1.853 4.963
```

Peak list (10 most intense, 2θ from 10° to 80°, in order of rising 2θ)
d = 5.834 Å, rel. 44; d = 3.605 Å, rel. 43; d = 3.556 Å, rel. 83; d = 2.917 Å, rel. 100; d = 2.549 Å, rel. 78; d = 2.481 Å, rel. 36; d = 2.072 Å, rel. 38; d = 1.803 Å, rel. 25; d = 1.778 Å, rel. 49; d = 1.458 Å, rel. 24

For CuAg6, DFT lattice parameters and positions (PBE) gives the simulated powder diffraction line list in this record (Cu Kα, 1.54184 Å).
Neutral-atom scattering factors, no anomalous dispersion.

Cell and atoms:
```
CuAg6
1.0
1.447 0.835 16.562
-1.447 0.835 16.562
0.000 -1.670 16.562
Cu Ag
1 6
Cartesian
0.000 0.000 0.000
0.000 0.000 7.066
0.000 0.000 14.390
0.000 0.000 21.182
0.000 0.000 28.505
0.000 0.000 35.297
0.000 0.000 42.621
```

Peak list (10 most intense, 2θ from 10° to 80°, in order of rising 2θ)
d = 2.760 Å, rel. 3; d = 2.364 Å, rel. 100; d = 2.191 Å, rel. 2; d = 2.047 Å, rel. 48; d = 1.557 Å, rel. 2; d = 1.447 Å, rel. 28; d = 1.320 Å, rel. 2; d = 1.281 Å, rel. 1; d = 1.234 Å, rel. 22; d = 1.234 Å, rel. 9

For NdGdCo2Pb, DFT lattice parameters and positions (PBE) gives the simulated powder diffraction line list in this record (Cu Kα, 1.54184 Å).
Neutral-atom scattering factors, no anomalous dispersion.

Cell and atoms:
```
NdGdCo2Pb
1.0
3.918 0.000 0.000
0.000 1.945 7.199
0.000 -1.945 7.199
Nd Gd Co Pb
1 1 2 1
Cartesian
0.000 0.000 0.000
0.000 0.000 4.006
1.959 0.000 6.151
1.959 0.000 12.156
1.959 0.000 9.242
```

Peak list (10 most intense, 2θ from 10° to 80°, in order of rising 2θ)
d = 3.022 Å, rel. 51; d = 2.711 Å, rel. 100; d = 2.651 Å, rel. 77; d = 2.314 Å, rel. 31; d = 1.959 Å, rel. 21; d = 1.945 Å, rel. 20; d = 1.649 Å, rel. 19; d = 1.644 Å, rel. 18; d = 1.568 Å, rel. 31; d = 1.495 Å, rel. 16

For GdDyMg6, DFT lattice parameters and positions (PBE) gives the simulated powder diffraction line list in this record (Cu Kα, 1.54184 Å).
Neutral-atom scattering factors, no anomalous dispersion.

Cell and atoms:
```
GdDyMg6
1.0
5.177 0.000 0.000
0.000 5.177 0.000
0.000 0.000 7.321
Gd Dy Mg
1 1 6
Cartesian
0.000 0.000 0.000
2.589 2.589 3.660
0.000 0.000 3.660
0.000 2.589 1.839
0.000 2.589 5.482
2.589 0.000 1.839
2.589 0.000 5.482
2.589 2.589 0.000
```

Peak list (10 most intense, 2θ from 10° to 80°, in order of rising 2θ)
d = 4.227 Å, rel. 73; d = 3.661 Å, rel. 39; d = 2.588 Å, rel. 100; d = 2.207 Å, rel. 40; d = 1.830 Å, rel. 18; d = 1.680 Å, rel. 17; d = 1.637 Å, rel. 16; d = 1.494 Å, rel. 36; d = 1.409 Å, rel. 13; d = 1.238 Å, rel. 13

For Lu2Sc2In5Ni2, DFT lattice parameters and positions (PBE) gives the simulated powder diffraction line list in this record (Cu Kα, 1.54184 Å).
Neutral-atom scattering factors, no anomalous dispersion.

Cell and atoms:
```
Lu2Sc2In5Ni2
1.0
7.591 0.000 0.000
0.000 3.409 0.000
-0.743 0.000 9.259
Lu Sc In Ni
2 2 5 2
Cartesian
1.128 0.000 3.167
5.720 0.000 6.093
0.840 0.000 8.703
6.007 0.000 0.556
0.761 1.704 6.016
3.341 1.704 1.504
3.424 1.704 4.630
3.507 1.704 7.755
6.086 1.704 3.243
0.440 1.704 1.183
6.408 1.704 8.076
```

Peak list (10 most intense, 2θ from 10° to 80°, in order of rising 2θ)
d = 2.918 Å, rel. 43; d = 2.781 Å, rel. 46; d = 2.621 Å, rel. 98; d = 2.542 Å, rel. 100; d = 2.532 Å, rel. 77; d = 2.522 Å, rel. 84; d = 2.491 Å, rel. 59; d = 2.303 Å, rel. 45; d = 2.289 Å, rel. 84; d = 1.704 Å, rel. 43

For SiTcNiW, DFT lattice parameters and positions (PBE) gives the simulated powder diffraction line list in this record (Cu Kα, 1.54184 Å).
Neutral-atom scattering factors, no anomalous dispersion.

Cell and atoms:
```
SiTcNiW
1.0
0.000 3.001 3.001
3.001 0.000 3.001
3.001 3.001 0.000
Si Tc Ni W
1 1 1 1
Cartesian
0.000 0.000 0.000
4.502 4.502 4.502
1.501 1.501 1.501
3.001 3.001 3.001
```

Peak list (9 most intense, 2θ from 10° to 80°, in order of rising 2θ)
d = 3.466 Å, rel. 44; d = 3.001 Å, rel. 2; d = 2.122 Å, rel. 100; d = 1.810 Å, rel. 22; d = 1.733 Å, rel. 1; d = 1.501 Å, rel. 16; d = 1.377 Å, rel. 9; d = 1.342 Å, rel. 1; d = 1.225 Å, rel. 33